No. 1
For SmP2H2CO6, a structure optimized by DFT (GGA-PBE) gives the theoretical powder diffractogram in this record (Cu Kα X-rays).

Main lines, low angle first (2θ from 10° to 90°):
12.40 deg, d = 7.137 Å, I = 1000, hkl 0 2 0; 21.79 deg, d = 4.079 Å, I = 689, hkl 0 2 1; 24.00 deg, d = 3.708 Å, I = 492, hkl 2 0 -1; 26.36 deg, d = 3.381 Å, I = 386, hkl 2 2 0; 27.10 deg, d = 3.291 Å, I = 242, hkl 2 2 -1; 30.86 deg, d = 2.898 Å, I = 590, hkl 0 4 1

Atomic structure:
```
data_SmP2H2CO6
_chemical_formula_sum 'Sm4 P8 H8 C4 O24'
_cell_length_a 8.163
_cell_length_b 14.274
_cell_length_c 5.285
_cell_angle_alpha 90.00
_cell_angle_beta 109.86
_cell_angle_gamma 90.00
_space_group_name_H-M_alt 'C 1 2/m 1'
_space_group_IT_number 12
_space_group_name_Hall '-C 2y'
loop_
_atom_site_label
_atom_site_type_symbol
_atom_site_fract_x
_atom_site_fract_y
_atom_site_fract_z
Sm1 Sm 0.000 0.228 0.000
P1 P 0.240 0.388 0.381
H1 H 0.095 0.000 0.757
H2 H 0.185 0.500 0.028
C1 C 0.231 0.000 0.759
O1 O 0.041 0.367 0.312
O2 O 0.150 0.118 0.324
O3 O 0.213 0.186 0.798
```

---

No. 2
For YbPH5CO7, a structure optimized by DFT (GGA-PBE) gives the theoretical powder diffractogram in this record (Cu Kα X-rays).

Main lines, low angle first (2θ from 10° to 90°):
12.51 deg, d = 7.078 Å, I = 1000, hkl 0 0 1; 13.61 deg, d = 6.506 Å, I = 265, hkl 1 0 0; 18.81 deg, d = 4.718 Å, I = 280, hkl 1 -1 0; 25.17 deg, d = 3.539 Å, I = 296, hkl 0 0 2; 28.13 deg, d = 3.172 Å, I = 292, hkl 0 2 2; 29.97 deg, d = 2.982 Å, I = 358, hkl 2 -1 0

Atomic structure:
```
data_YbPH5CO7
_chemical_formula_sum 'Yb2 P2 H10 C2 O14'
_cell_length_a 6.583
_cell_length_b 7.135
_cell_length_c 7.967
_cell_angle_alpha 64.02
_cell_angle_beta 82.10
_cell_angle_gamma 89.98
_space_group_name_H-M_alt 'P -1'
_space_group_IT_number 2
_space_group_name_Hall '-P 1'
loop_
_atom_site_label
_atom_site_type_symbol
_atom_site_fract_x
_atom_site_fract_y
_atom_site_fract_z
Yb1 Yb 0.140 0.238 0.022
P1 P 0.340 0.763 0.959
H1 H 0.317 0.536 0.623
H2 H 0.357 0.317 0.628
H3 H 0.406 0.658 0.137
H4 H 0.453 0.917 0.385
H5 H 0.498 0.199 0.400
C1 C 0.027 0.221 0.506
O1 O 0.046 0.921 0.350
O2 O 0.099 0.353 0.358
O3 O 0.200 0.607 0.933
O4 O 0.208 0.939 0.964
O5 O 0.266 0.387 0.691
O6 O 0.458 0.162 0.186
O7 O 0.469 0.779 0.492
```

---

No. 3
For Zn2PH2CO7, a structure optimized by DFT (GGA-PBE) gives the theoretical powder diffractogram in this record (Cu Kα X-rays).

Main lines, low angle first (2θ from 10° to 90°):
12.41 deg, d = 7.133 Å, I = 1000, hkl 0 0 2; 23.96 deg, d = 3.714 Å, I = 742, hkl 1 1 1; 25.47 deg, d = 3.497 Å, I = 516, hkl 1 1 -3; 26.86 deg, d = 3.319 Å, I = 536, hkl 2 0 -4; 28.82 deg, d = 3.098 Å, I = 488, hkl 2 1 -1; 32.82 deg, d = 2.729 Å, I = 468, hkl 2 1 1

Atomic structure:
```
data_Zn2PH2CO7
_chemical_formula_sum 'Zn8 P4 H8 C4 O28'
_cell_length_a 8.110
_cell_length_b 4.879
_cell_length_c 15.557
_cell_angle_alpha 90.00
_cell_angle_beta 113.51
_cell_angle_gamma 90.00
_space_group_name_H-M_alt 'P 1 21/c 1'
_space_group_IT_number 14
_space_group_name_Hall '-P 2ybc'
loop_
_atom_site_label
_atom_site_type_symbol
_atom_site_fract_x
_atom_site_fract_y
_atom_site_fract_z
Zn1 Zn 0.047 0.015 0.365
Zn2 Zn 0.410 0.009 0.809
P1 P 0.198 0.044 0.204
H1 H 0.138 0.232 0.535
H2 H 0.276 0.506 0.031
C1 C 0.433 0.618 0.492
O1 O 0.054 0.162 0.111
O2 O 0.162 0.165 0.287
O3 O 0.196 0.145 0.495
O4 O 0.198 0.726 0.200
O5 O 0.346 0.697 0.408
O6 O 0.388 0.160 0.219
O7 O 0.419 0.719 0.564
```

---

No. 4
For Pm4HCO2, a structure optimized by DFT (GGA-PBE) gives the theoretical powder diffractogram in this record (Cu Kα X-rays).

Main lines, low angle first (2θ from 10° to 90°):
30.27 deg, d = 2.952 Å, I = 1000, hkl 1 1 2; 34.28 deg, d = 2.616 Å, I = 239, hkl 0 0 4; 35.50 deg, d = 2.529 Å, I = 456, hkl 2 0 0; 50.18 deg, d = 1.818 Å, I = 319, hkl 2 0 4; 60.54 deg, d = 1.529 Å, I = 292, hkl 3 1 2; 62.97 deg, d = 1.476 Å, I = 159, hkl 2 2 4

Atomic structure:
```
data_Pm4HCO2
_chemical_formula_sum 'Pm8 H2 C2 O4'
_cell_length_a 5.057
_cell_length_b 5.057
_cell_length_c 10.463
_cell_angle_alpha 90.00
_cell_angle_beta 90.00
_cell_angle_gamma 90.00
_space_group_name_H-M_alt 'I 4/m m m'
_space_group_IT_number 139
_space_group_name_Hall '-I 4 2'
loop_
_atom_site_label
_atom_site_type_symbol
_atom_site_fract_x
_atom_site_fract_y
_atom_site_fract_z
Pm1 Pm 0.000 0.000 0.237
Pm2 Pm 0.000 0.500 0.000
H1 H 0.000 0.000 0.500
C1 C 0.000 0.000 0.000
O1 O 0.000 0.500 0.250
```

---

No. 5
For PuHCO5, a structure optimized by DFT (GGA-PBE) gives the theoretical powder diffractogram in this record (Cu Kα X-rays).

Main lines, low angle first (2θ from 10° to 90°):
21.14 deg, d = 4.202 Å, I = 485, hkl 0 2 0; 21.46 deg, d = 4.141 Å, I = 1000, hkl 1 1 -1; 25.96 deg, d = 3.432 Å, I = 573, hkl 1 1 1; 27.30 deg, d = 3.266 Å, I = 505, hkl 2 0 0; 34.82 deg, d = 2.576 Å, I = 586, hkl 1 3 0; 46.34 deg, d = 1.960 Å, I = 396, hkl 0 4 1

Atomic structure:
```
data_PuHCO5
_chemical_formula_sum 'Pu4 H4 C4 O20'
_cell_length_a 6.722
_cell_length_b 8.404
_cell_length_c 5.580
_cell_angle_alpha 90.00
_cell_angle_beta 103.62
_cell_angle_gamma 90.00
_space_group_name_H-M_alt 'C 1 2/c 1'
_space_group_IT_number 15
_space_group_name_Hall '-C 2yc'
loop_
_atom_site_label
_atom_site_type_symbol
_atom_site_fract_x
_atom_site_fract_y
_atom_site_fract_z
Pu1 Pu 0.000 0.197 0.250
H1 H 0.000 0.500 0.000
C1 C 0.000 0.167 0.750
O1 O 0.000 0.448 0.250
O2 O 0.127 0.078 0.929
O3 O 0.127 0.261 0.641
```

---

No. 6
For SiH12C4O4, a structure optimized by DFT (GGA-PBE) gives the theoretical powder diffractogram in this record (Cu Kα X-rays).

Main lines, low angle first (2θ from 10° to 90°):
16.58 deg, d = 5.348 Å, I = 1000, hkl 1 0 1; 21.28 deg, d = 4.175 Å, I = 137, hkl 2 2 0; 22.43 deg, d = 3.964 Å, I = 115, hkl 1 2 1; 31.11 deg, d = 2.875 Å, I = 476, hkl 3 2 1; 33.95 deg, d = 2.641 Å, I = 102, hkl 4 2 0; 49.74 deg, d = 1.833 Å, I = 99, hkl 1 5 2

Atomic structure:
```
data_SiH12C4O4
_chemical_formula_sum 'Si4 H48 C16 O16'
_cell_length_a 11.810
_cell_length_b 11.810
_cell_length_c 5.998
_cell_angle_alpha 90.00
_cell_angle_beta 90.00
_cell_angle_gamma 90.00
_space_group_name_H-M_alt 'I 41/a'
_space_group_IT_number 88
loop_
_space_group_symop_operation_xyz
'x,y,z'
'-x,-y,-z'
'-y+3/4,x+1/4,z+1/4'
'y+3/4,-x+1/4,-z+1/4'
'-x+1/2,-y,z+1/2'
'x+1/2,y,-z+1/2'
'y+3/4,-x+3/4,z+3/4'
'-y+3/4,x+3/4,-z+3/4'
'x+1/2,y+1/2,z+1/2'
'-x+1/2,-y+1/2,-z+1/2'
'-y+1/4,x+3/4,z+3/4'
'y+1/4,-x+3/4,-z+3/4'
'-x,-y+1/2,z'
'x,y+1/2,-z'
'y+1/4,-x+1/4,z+1/4'
'-y+1/4,x+1/4,-z+1/4'
loop_
_atom_site_label
_atom_site_type_symbol
_atom_site_fract_x
_atom_site_fract_y
_atom_site_fract_z
Si1 Si 0.000 0.250 0.125
H1 H 0.018 0.105 0.825
H2 H 0.057 0.391 0.418
H3 H 0.154 0.495 0.027
C1 C 0.079 0.147 0.938
O1 O 0.136 0.062 0.072
```

---

No. 7
For SmH3C3O6, a structure optimized by DFT (GGA-PBE) gives the theoretical powder diffractogram in this record (Cu Kα X-rays).

Main lines, low angle first (2θ from 10° to 90°):
16.68 deg, d = 5.314 Å, I = 1000, hkl 1 1 0; 23.95 deg, d = 3.716 Å, I = 313, hkl 1 0 1; 29.33 deg, d = 3.045 Å, I = 329, hkl 0 2 1; 33.73 deg, d = 2.657 Å, I = 333, hkl 2 2 0; 33.93 deg, d = 2.642 Å, I = 413, hkl 2 1 1; 41.80 deg, d = 2.161 Å, I = 275, hkl 1 3 1

Atomic structure:
```
data_SmH3C3O6
_chemical_formula_sum 'Sm3 H9 C9 O18'
_cell_length_a 10.6279
_cell_length_b 10.6279
_cell_length_c 4.0612
_cell_angle_alpha 90.00
_cell_angle_beta 90.00
_cell_angle_gamma 120.00
_space_group_name_H-M_alt 'R 3 m'
_space_group_IT_number 160
_space_group_name_Hall 'R 3 -2"'
loop_
_atom_site_label
_atom_site_type_symbol
_atom_site_fract_x
_atom_site_fract_y
_atom_site_fract_z
Sm1 Sm 0.0000 0.0000 0.0000
H1 H 0.1718 0.3437 0.1993
C1 C 0.0263 0.5132 0.1248
O1 O 0.0847 0.1694 0.5062
O2 O 0.2006 0.4011 0.6847
```